[1]
Ba2ZnCdS2O2: computed PXRD pattern (Cu Kα (weighted mean of Kα1 and Kα2)), based on a GGA-PBE-relaxed structure.
Peak positions follow from Bragg's law for the DFT cell and can differ from measured ones.

Crystal structure
abc: 4.154 4.154 12.358
angles: 90.00 90.00 120.00
Sites, in units of the cell vectors:
1 Ba 0.000 0.000 0.000
2 Ba 0.333 0.667 0.519
3 Zn 0.667 0.333 0.741
4 Cd 0.667 0.333 0.244
5 S 0.000 0.000 0.322
6 S 0.333 0.667 0.802
7 O 0.667 0.333 0.069
8 O 0.667 0.333 0.587

Most intense lines, 2θ from 10° to 90°, by intensity:
| 2θ/deg | I/Imax |
| --- | --- |
| 28.7 | 1000 |
| 25.8 | 821 |
| 33.1 | 666 |
| 43.6 | 599 |
| 53.1 | 423 |
| 28.9 | 400 |
| 51.1 | 309 |
| 53.0 | 179 |



[2]
Ba5Cd2Sb4O2: computed PXRD pattern (Cu Kα (weighted mean of Kα1 and Kα2)), based on a GGA-PBE-relaxed structure.
Peak positions follow from Bragg's law for the DFT cell and can differ from measured ones.

Crystal structure
abc: 9.048 9.048 12.346
angles: 130.61 130.61 31.94
Sites, in units of the cell vectors:
1 Ba 0.000 0.000 0.000
2 Ba 0.026 0.026 0.703
3 Ba 0.299 0.299 0.650
4 Ba 0.701 0.701 0.350
5 Ba 0.974 0.974 0.297
6 Cd 0.261 0.261 0.122
7 Cd 0.739 0.739 0.878
8 Sb 0.366 0.366 0.010
9 Sb 0.393 0.393 0.434
10 Sb 0.607 0.607 0.566
11 Sb 0.634 0.634 0.990
12 O 0.129 0.129 0.313
13 O 0.871 0.871 0.687

Most intense lines, 2θ from 10° to 90°, by intensity:
| 2θ/deg | I/Imax |
| --- | --- |
| 27.5 | 1000 |
| 28.1 | 753 |
| 31.6 | 721 |
| 36.1 | 599 |
| 30.7 | 524 |
| 30.9 | 440 |
| 48.7 | 300 |
| 47.2 | 282 |



[3]
BaCdTeO: computed PXRD pattern (Cu Kα (weighted mean of Kα1 and Kα2)), based on a GGA-PBE-relaxed structure.
Peak positions follow from Bragg's law for the DFT cell and can differ from measured ones.

Crystal structure
abc: 7.841 7.841 6.938
angles: 90.00 90.00 146.61
Sites, in units of the cell vectors:
1 Ba 0.144 0.856 0.500
2 Ba 0.856 0.144 0.000
3 Cd 0.443 0.557 0.387
4 Cd 0.557 0.443 0.887
5 Te 0.162 0.838 0.002
6 Te 0.838 0.162 0.502
7 O 0.435 0.565 0.063
8 O 0.565 0.435 0.563

Most intense lines, 2θ from 10° to 90°, by intensity:
| 2θ/deg | I/Imax |
| --- | --- |
| 26.6 | 1000 |
| 37.3 | 592 |
| 25.7 | 535 |
| 33.1 | 289 |
| 40.0 | 269 |
| 29.6 | 263 |
| 46.9 | 234 |
| 54.2 | 226 |



[4]
Ba2CdOsSe6: computed PXRD pattern (Cu Kα (weighted mean of Kα1 and Kα2)), based on a GGA-PBE-relaxed structure.
Peak positions follow from Bragg's law for the DFT cell and can differ from measured ones.

Crystal structure
abc: 6.375 7.051 7.491
angles: 71.02 65.82 63.94
Sites, in units of the cell vectors:
1 Ba 0.243 0.278 0.233
2 Ba 0.757 0.722 0.767
3 Cd 0.000 0.000 0.000
4 Os 0.500 0.500 0.500
5 Se 0.177 0.770 0.342
6 Se 0.264 0.644 0.833
7 Se 0.314 0.218 0.660
8 Se 0.686 0.782 0.340
9 Se 0.736 0.356 0.167
10 Se 0.823 0.230 0.658

Most intense lines, 2θ from 10° to 90°, by intensity:
| 2θ/deg | I/Imax |
| --- | --- |
| 35.3 | 1000 |
| 35.6 | 335 |
| 40.3 | 292 |
| 25.6 | 289 |
| 25.3 | 282 |
| 24.1 | 274 |
| 24.5 | 259 |
| 27.8 | 232 |



[5]
BaSmCdP2: computed PXRD pattern (Cu Kα (weighted mean of Kα1 and Kα2)), based on a GGA-PBE-relaxed structure.
Peak positions follow from Bragg's law for the DFT cell and can differ from measured ones.

Crystal structure
abc: 9.168 9.168 7.010
angles: 90.00 90.00 153.03
Sites, in units of the cell vectors:
1 Ba 0.197 0.803 0.500
2 Ba 0.803 0.197 0.000
3 Sm 0.030 0.970 0.807
4 Sm 0.970 0.030 0.307
5 Cd 0.396 0.604 0.644
6 Cd 0.604 0.396 0.144
7 P 0.167 0.833 0.004
8 P 0.452 0.548 0.013
9 P 0.548 0.452 0.513
10 P 0.833 0.167 0.504

Most intense lines, 2θ from 10° to 90°, by intensity:
| 2θ/deg | I/Imax |
| --- | --- |
| 32.7 | 1000 |
| 36.4 | 595 |
| 24.9 | 465 |
| 28.7 | 431 |
| 33.4 | 410 |
| 27.3 | 403 |
| 23.7 | 284 |
| 42.3 | 281 |



[6]
BaCdSnP2: computed PXRD pattern (Cu Kα (weighted mean of Kα1 and Kα2)), based on a GGA-PBE-relaxed structure.
Peak positions follow from Bragg's law for the DFT cell and can differ from measured ones.

Crystal structure
abc: 8.800 8.800 7.150
angles: 90.00 90.00 150.69
Sites, in units of the cell vectors:
1 Ba 0.187 0.813 0.500
2 Ba 0.813 0.187 0.000
3 Cd 0.396 0.604 0.618
4 Cd 0.604 0.396 0.118
5 Sn 0.028 0.972 0.814
6 Sn 0.972 0.028 0.314
7 P 0.173 0.827 0.008
8 P 0.454 0.546 0.970
9 P 0.546 0.454 0.470
10 P 0.827 0.173 0.508

Most intense lines, 2θ from 10° to 90°, by intensity:
| 2θ/deg | I/Imax |
| --- | --- |
| 33.1 | 1000 |
| 35.9 | 867 |
| 24.1 | 863 |
| 40.5 | 588 |
| 32.5 | 581 |
| 28.4 | 506 |
| 58.0 | 500 |
| 27.1 | 476 |



[7]
BaTmCdP2: computed PXRD pattern (Cu Kα (weighted mean of Kα1 and Kα2)), based on a GGA-PBE-relaxed structure.
Peak positions follow from Bragg's law for the DFT cell and can differ from measured ones.

Crystal structure
abc: 9.169 9.169 6.866
angles: 90.00 90.00 153.68
Sites, in units of the cell vectors:
1 Ba 0.197 0.803 0.500
2 Ba 0.803 0.197 0.000
3 Tm 0.028 0.972 0.808
4 Tm 0.972 0.028 0.308
5 Cd 0.395 0.605 0.640
6 Cd 0.605 0.395 0.140
7 P 0.165 0.835 0.980
8 P 0.456 0.544 0.019
9 P 0.544 0.456 0.519
10 P 0.835 0.165 0.480

Most intense lines, 2θ from 10° to 90°, by intensity:
| 2θ/deg | I/Imax |
| --- | --- |
| 33.0 | 1000 |
| 37.1 | 703 |
| 34.2 | 554 |
| 25.5 | 527 |
| 27.8 | 478 |
| 29.2 | 470 |
| 32.8 | 401 |
| 23.8 | 346 |



[8]
BaCdPtPb2: computed PXRD pattern (Cu Kα (weighted mean of Kα1 and Kα2)), based on a GGA-PBE-relaxed structure.
Peak positions follow from Bragg's law for the DFT cell and can differ from measured ones.

Crystal structure
abc: 5.109 5.109 11.621
angles: 90.00 90.00 90.00
Sites, in units of the cell vectors:
1 Ba 0.250 0.250 0.223
2 Ba 0.750 0.750 0.777
3 Cd 0.250 0.250 0.647
4 Cd 0.750 0.750 0.353
5 Pt 0.250 0.750 0.000
6 Pt 0.750 0.250 0.000
7 Pb 0.250 0.250 0.903
8 Pb 0.250 0.750 0.500
9 Pb 0.750 0.250 0.500
10 Pb 0.750 0.750 0.097

Most intense lines, 2θ from 10° to 90°, by intensity:
| 2θ/deg | I/Imax |
| --- | --- |
| 29.1 | 1000 |
| 35.1 | 943 |
| 39.8 | 563 |
| 28.9 | 545 |
| 15.2 | 452 |
| 50.5 | 338 |
| 46.1 | 307 |
| 59.4 | 272 |



[9]
BaCdPtPb2: computed PXRD pattern (Cu Kα (weighted mean of Kα1 and Kα2)), based on a GGA-PBE-relaxed structure.
Peak positions follow from Bragg's law for the DFT cell and can differ from measured ones.

Crystal structure
abc: 4.935 4.935 11.975
angles: 90.00 90.00 90.00
Sites, in units of the cell vectors:
1 Ba 0.250 0.250 0.240
2 Ba 0.750 0.750 0.760
3 Cd 0.250 0.750 0.500
4 Cd 0.750 0.250 0.500
5 Pt 0.250 0.250 0.883
6 Pt 0.750 0.750 0.117
7 Pb 0.250 0.250 0.654
8 Pb 0.250 0.750 0.000
9 Pb 0.750 0.250 0.000
10 Pb 0.750 0.750 0.346

Most intense lines, 2θ from 10° to 90°, by intensity:
| 2θ/deg | I/Imax |
| --- | --- |
| 29.6 | 1000 |
| 36.4 | 822 |
| 39.7 | 518 |
| 28.8 | 470 |
| 52.4 | 291 |
| 19.5 | 287 |
| 41.9 | 284 |
| 61.4 | 254 |



[10]
Ba2CdTcS6: computed PXRD pattern (Cu Kα (weighted mean of Kα1 and Kα2)), based on a GGA-PBE-relaxed structure.
Peak positions follow from Bragg's law for the DFT cell and can differ from measured ones.

Crystal structure
abc: 7.111 7.111 7.111
angles: 122.96 122.96 84.95
Sites, in units of the cell vectors:
1 Ba 0.250 0.750 0.500
2 Ba 0.750 0.250 0.500
3 Cd 0.000 0.000 0.000
4 Tc 0.500 0.500 0.000
5 S 0.198 0.673 0.871
6 S 0.267 0.267 0.000
7 S 0.327 0.198 0.525
8 S 0.673 0.802 0.475
9 S 0.733 0.733 0.000
10 S 0.802 0.327 0.129

Most intense lines, 2θ from 10° to 90°, by intensity:
| 2θ/deg | I/Imax |
| --- | --- |
| 25.1 | 1000 |
| 26.2 | 609 |
| 45.7 | 552 |
| 37.5 | 415 |
| 34.2 | 332 |
| 51.6 | 312 |
| 43.6 | 299 |
| 71.8 | 195 |



[11]
Ba11Cd6Sb12: computed PXRD pattern (Cu Kα (weighted mean of Kα1 and Kα2)), based on a GGA-PBE-relaxed structure.
Peak positions follow from Bragg's law for the DFT cell and can differ from measured ones.

Crystal structure
abc: 17.431 17.431 13.326
angles: 109.53 109.53 16.33
Sites, in units of the cell vectors:
1 Ba 0.000 0.000 0.000
2 Ba 0.018 0.018 0.679
3 Ba 0.113 0.113 0.509
4 Ba 0.126 0.126 0.020
5 Ba 0.199 0.199 0.347
6 Ba 0.280 0.280 0.134
7 Ba 0.720 0.720 0.866
8 Ba 0.801 0.801 0.653
9 Ba 0.874 0.874 0.980
10 Ba 0.887 0.887 0.491
11 Ba 0.982 0.982 0.321
12 Cd 0.218 0.218 0.671
13 Cd 0.401 0.401 0.254
14 Cd 0.454 0.454 0.759
15 Cd 0.546 0.546 0.241
16 Cd 0.599 0.599 0.746
17 Cd 0.782 0.782 0.329
18 Sb 0.087 0.087 0.236
19 Sb 0.147 0.147 0.783
20 Sb 0.294 0.294 0.857
21 Sb 0.307 0.307 0.457
22 Sb 0.453 0.453 0.120
23 Sb 0.458 0.458 0.494
24 Sb 0.542 0.542 0.506
25 Sb 0.547 0.547 0.880
26 Sb 0.693 0.693 0.543
27 Sb 0.706 0.706 0.143
28 Sb 0.853 0.853 0.217
29 Sb 0.913 0.913 0.764

Most intense lines, 2θ from 10° to 90°, by intensity:
| 2θ/deg | I/Imax |
| --- | --- |
| 36.3 | 1000 |
| 27.8 | 969 |
| 29.5 | 607 |
| 27.3 | 532 |
| 29.1 | 526 |
| 26.3 | 505 |
| 30.1 | 464 |
| 26.8 | 457 |



[12]
BaSrCdSb2: computed PXRD pattern (Cu Kα (weighted mean of Kα1 and Kα2)), based on a GGA-PBE-relaxed structure.
Peak positions follow from Bragg's law for the DFT cell and can differ from measured ones.

Crystal structure
abc: 9.209 9.209 8.528
angles: 90.00 90.00 149.46
Sites, in units of the cell vectors:
1 Ba 0.036 0.964 0.500
2 Ba 0.964 0.036 0.000
3 Sr 0.205 0.795 0.847
4 Sr 0.795 0.205 0.347
5 Cd 0.406 0.594 0.653
6 Cd 0.594 0.406 0.153
7 Sb 0.177 0.823 0.228
8 Sb 0.432 0.568 0.296
9 Sb 0.568 0.432 0.796
10 Sb 0.823 0.177 0.728

Most intense lines, 2θ from 10° to 90°, by intensity:
| 2θ/deg | I/Imax |
| --- | --- |
| 31.2 | 1000 |
| 25.9 | 915 |
| 31.8 | 809 |
| 37.1 | 607 |
| 28.3 | 583 |
| 33.1 | 492 |
| 14.4 | 300 |
| 50.5 | 291 |